Calculated X-ray diffraction stick pattern
Compound: Li2Co4O3F8
Radiation: copper Kα
Structure: a PBE+U-relaxed structure
No peak broadening, texture or thermal motion is included.

Top 10 peaks for 5 to 70 degrees two-theta, sorted by position:
| hkl | 2θ (°) | I (rel.) |
| --- | --- | --- |
| 0 0 1 | 14.1 | 1000 |
| 0 1 0 | 15.1 | 342 |
| 0 1 -1 | 16.5 | 782 |
| 1 1 -1 | 24.0 | 524 |
| 0 1 1 | 24.2 | 222 |
| 1 0 1 | 26.7 | 554 |
| 1 -2 0 | 32.3 | 287 |
| 1 0 -3 | 41.3 | 571 |
| 2 1 0 | 43.8 | 488 |
| 1 -3 1 | 45.1 | 403 |

Structure:
abc: 5.045 6.337 6.996
angles: 108.70 104.89 96.11
Element x y z (fractional)
Li (0.185, 0.189, 0.410)
Li (0.815, 0.811, 0.590)
Co (0.159, 0.627, 0.228)
Co (0.394, 0.246, 0.967)
Co (0.606, 0.754, 0.033)
Co (0.841, 0.373, 0.772)
O (0.242, 0.528, 0.958)
O (0.500, 0.000, 0.000)
O (0.758, 0.472, 0.042)
F (0.017, 0.897, 0.187)
F (0.111, 0.706, 0.488)
F (0.299, 0.350, 0.250)
F (0.445, 0.197, 0.668)
F (0.555, 0.803, 0.332)
F (0.701, 0.650, 0.750)
F (0.889, 0.294, 0.512)
F (0.983, 0.103, 0.813)